(1)
# Sm2BeZnAu6
Calculated powder diffraction line list, Cu Kα, 1.54184 Å. Input: the PBE geometry in Alexandria.
Lines closer than 0.1° are merged.

Atomic structure:
Lattice parameters (Å, degrees): 6.163 6.245 7.166 64.93 89.88 60.64
Space group P-1 (No. 2)
Unique sites:
Sm1 0.240 0.021 0.304 x2
Be1 0.500 0.500 0.000 x1
Zn1 0.000 0.500 0.500 x1
Au1 0.170 0.636 0.154 x2
Au2 0.267 0.965 0.745 x2
Au3 0.307 0.366 0.843 x2

Most intense lines, 2θ = 15–90°, in order of falling intensity:
d/Å  I_rel  hkl
2.317  100  2 0 -2
2.595  89  0 2 2
3.131  69  0 0 2
2.702  48  0 2 1
2.580  44  2 2 0
2.384  44  0 1 3
2.177  27  0 1 -2
2.190  23  2 2 -1
2.202  18  2 0 1
2.770  17  2 1 1

(2)
# BeSnAu
Calculated powder diffraction line list, Cu Kα, 1.54184 Å. Input: the PBE geometry in Alexandria.
Lines closer than 0.1° are merged.

Atomic structure:
Lattice parameters (Å, degrees): 3.117 3.117 23.041 90.00 90.00 90.00
Space group I4/mmm (No. 139)
Unique sites:
Be1 0.000 0.000 0.221 x4
Sn1 0.000 0.000 0.074 x4
Au1 0.000 0.000 0.325 x4

Most intense lines, 2θ = 15–90°, in order of falling intensity:
d/Å  I_rel  hkl
2.886  100  0 0 8
2.582  56  1 0 5
2.204  40  1 1 0
1.371  28  2 0 8
1.750  26  1 1 8
2.263  20  1 0 7
5.760  16  0 0 4
1.334  15  2 1 5
1.559  14  2 0 0
1.448  12  1 1 12

(3)
# BeSnAu3
Calculated powder diffraction line list, Cu Kα, 1.54184 Å. Input: the PBE geometry in Alexandria.
Lines closer than 0.1° are merged.

Atomic structure:
Lattice parameters (Å, degrees): 3.853 4.687 11.272 89.61 83.91 87.54
Space group P-1 (No. 2)
Unique sites:
Be1 0.102 0.251 0.379 x2
Sn1 0.265 0.267 0.942 x2
Au1 0.059 0.759 0.421 x2
Au2 0.178 0.042 0.184 x2
Au3 0.381 0.567 0.715 x2

Most intense lines, 2θ = 15–90°, in order of falling intensity:
d/Å  I_rel  hkl
2.761  100  -1 1 1
2.917  86  0 1 -3
2.162  35  0 2 2
2.155  33  1 0 -4
1.921  28  2 0 1
2.987  27  1 1 1
1.881  24  1 -2 2
2.024  23  0 1 5
2.030  22  1 0 5
1.665  15  2 1 -2